# 1
Computed PXRD pattern of BaLa2Cl8 for Cu Kα, from a cell relaxed with PBE.
Intensities are scaled so that the largest is 100.

Top 8 peaks for 2θ = 5–70°, by intensity:
- 10.34°, intensity 100
- 20.77°, intensity 99
- 19.06°, intensity 98
- 32.02°, intensity 61
- 11.25°, intensity 52
- 34.61°, intensity 34
- 21.14°, intensity 30
- 36.52°, intensity 28

Cell and atoms:
```
22
Lattice="9.0568 -5.0971 0.0000 9.0568 5.0971 0.0000 -5.3174 0.0000 9.3097" Properties=species:S:1:pos:R:3 pbc="T T T"
Ba 5.0688 4.8967 6.9823
Ba 7.7275 -4.8967 2.3274
La 0.2276 2.4113 7.1812
La 2.8863 -2.4113 2.5264
La 9.9099 2.4113 6.7833
La 12.5686 -2.4113 2.1285
Cl 5.2746 3.9033 3.9008
Cl 5.9960 3.1811 0.5736
Cl 2.7222 3.0152 6.3226
Cl 10.1804 3.9033 0.7540
Cl 4.1745 0.0957 2.9476
Cl 1.5158 -0.0957 7.6025
Cl 9.4589 3.1811 4.0813
Cl 7.4153 3.0152 7.6419
Cl 5.3809 -3.0152 1.6678
Cl 3.3373 -3.1811 5.2284
Cl 11.2804 0.0957 1.7072
Cl 8.6217 -0.0957 6.3620
Cl 2.6159 -3.9033 8.5556
Cl 10.0740 -3.0152 2.9871
Cl 6.8002 -3.1811 8.7361
Cl 7.5216 -3.9033 5.4089
```


# 2
Computed PXRD pattern of TmFeCu for Cu Kα, from a cell relaxed with PBE.
Intensities are scaled so that the largest is 100.

Top 8 peaks for 2θ = 5–70°, by intensity:
- 34.77°, intensity 100
- 40.39°, intensity 78
- 41.73°, intensity 78
- 41.91°, intensity 65
- 35.73°, intensity 26
- 35.44°, intensity 21
- 21.19°, intensity 19
- 65.12°, intensity 19

Cell and atoms:
```
6
Lattice="-2.5129 2.5325 3.7352 2.5129 -2.5325 3.7352 2.5129 2.5325 -3.7352" Properties=species:S:1:pos:R:3 pbc="T T T"
Tm 0.0000 1.2663 0.9068
Tm 2.5129 1.2663 2.8284
Fe 1.2565 1.2663 -1.8676
Fe 1.2565 -1.2663 1.8676
Cu 2.5129 0.0000 0.0000
Cu 0.0000 0.0000 3.7352
```


# 3
Computed PXRD pattern of SmN for Cu Kα, from a cell relaxed with PBE.
Intensities are scaled so that the largest is 100.

Top 5 peaks for 2θ = 5–70°, by intensity:
- 30.51°, intensity 100
- 35.38°, intensity 74
- 50.90°, intensity 51
- 60.52°, intensity 45
- 63.51°, intensity 17

Cell and atoms:
```
2
Lattice="0.0000 2.5371 2.5371 2.5371 0.0000 2.5371 2.5371 2.5371 0.0000" Properties=species:S:1:pos:R:3 pbc="T T T"
Sm 0.0000 0.0000 0.0000
N 2.5371 2.5371 2.5371
```


# 4
Computed PXRD pattern of Na3InP2O8 for Cu Kα, from a cell relaxed with PBE.
Intensities are scaled so that the largest is 100.

Top 8 peaks for 2θ = 5–70°, by intensity:
- 31.55°, intensity 100
- 12.42°, intensity 70
- 22.72°, intensity 55
- 34.67°, intensity 54
- 32.35°, intensity 51
- 23.81°, intensity 36
- 46.41°, intensity 33
- 18.95°, intensity 24

Cell and atoms:
```
28
Lattice="7.1273 0.0000 0.0000 0.0000 5.5350 0.0000 -0.0021 0.0000 8.7793" Properties=species:S:1:pos:R:3 pbc="T T T"
Na 0.0410 1.3838 2.2484
Na 1.5004 4.1513 0.5323
Na 1.5922 1.3838 4.9730
Na 5.5329 4.1513 3.8063
Na 5.6248 1.3838 8.2470
Na 7.0842 4.1513 6.5309
In 3.5428 4.1513 6.6081
In 3.5824 1.3838 2.1712
P 1.9733 1.3838 7.9447
P 1.9701 4.1513 3.5217
P 5.1551 1.3838 5.2576
P 5.1519 4.1513 0.8346
O 0.6644 4.1513 4.2996
O 0.7216 1.3838 0.0229
O 1.9673 0.1150 6.9998
O 1.9673 2.6525 6.9998
O 2.0211 2.8833 2.5808
O 2.0211 5.4192 2.5808
O 3.2034 4.1513 4.4646
O 3.2638 1.3838 0.0298
O 3.8613 4.1513 8.7495
O 3.9218 1.3838 4.3147
O 5.1041 0.1158 6.1985
O 5.1041 2.6517 6.1985
O 5.1579 2.8825 1.7795
O 5.1579 5.4200 1.7795
O 6.4036 4.1513 8.7564
O 6.4608 1.3838 4.4797
```


# 5
Computed PXRD pattern of NaHg3 for Cu Kα, from a cell relaxed with PBE.
Intensities are scaled so that the largest is 100.

Top 8 peaks for 2θ = 5–70°, by intensity:
- 33.89°, intensity 100
- 60.63°, intensity 38
- 48.68°, intensity 18
- 20.56°, intensity 18
- 39.97°, intensity 10
- 23.79°, intensity 9
- 53.38°, intensity 5
- 54.88°, intensity 4

Cell and atoms:
```
4
Lattice="0.0000 3.7409 3.7409 3.7409 0.0000 3.7409 3.7409 3.7409 0.0000" Properties=species:S:1:pos:R:3 pbc="T T T"
Na 0.0000 0.0000 0.0000
Hg 1.8705 1.8705 1.8705
Hg 3.7409 3.7409 3.7409
Hg 5.6114 5.6114 5.6114
```


# 6
Computed PXRD pattern of CrPd3 for Cu Kα, from a cell relaxed with PBE.
Intensities are scaled so that the largest is 100.

Top 7 peaks for 2θ = 5–70°, by intensity:
- 39.88°, intensity 100
- 46.38°, intensity 48
- 67.68°, intensity 30
- 22.71°, intensity 7
- 32.34°, intensity 5
- 52.24°, intensity 3
- 57.67°, intensity 2

Cell and atoms:
```
4
Lattice="3.9154 0.0000 0.0000 0.0000 3.9154 0.0000 0.0000 0.0000 3.9154" Properties=species:S:1:pos:R:3 pbc="T T T"
Cr 0.0000 0.0000 0.0000
Pd 0.0000 1.9577 1.9577
Pd 1.9577 0.0000 1.9577
Pd 1.9577 1.9577 0.0000
```